For MgIO12, a PBE-relaxed structure gives the calculated PXRD pattern in this record (a wavelength of 1.5418 Å).
Lines closer than 0.1° are merged.

Most intense lines, 2θ = 10–90°, by intensity:
2θ/deg	I_rel
14.33	1000
15.53	537
19.85	363
23.31	277
14.55	275
21.80	260
24.47	197
28.91	190
17.57	179
22.74	170

Structure:
```
MgIO12
1.0
7.2832 0.0000 0.0000
0.0000 10.0966 0.0000
-4.7557 0.0000 7.6332
Mg I O
2 2 24
Cartesian
0.0000 0.8947 0.0000
-2.3778 9.2019 3.8166
5.2418 1.8652 2.8769
2.8639 8.2314 6.6935
-0.7358 1.7183 1.5917
-3.1136 8.3783 5.4083
-1.3349 3.5450 3.4941
-3.7128 6.5515 7.3107
0.7117 3.5804 0.2227
-1.6661 6.5162 4.0392
-2.8248 1.1522 6.6499
-0.4470 8.9444 2.8333
-1.2470 0.8401 4.2132
1.1308 9.2564 0.3966
-1.7111 1.6015 7.2051
0.6667 8.4950 3.3885
-0.6539 1.0061 6.8450
1.7240 9.0905 3.0284
4.2723 3.2143 1.9113
1.8945 6.8823 5.7279
4.1873 0.4224 2.4161
1.8094 9.6742 6.2327
1.8195 2.6481 6.4707
4.1974 7.4484 2.6541
3.9399 2.6405 4.1014
6.3177 7.4560 0.2848
2.3666 3.7433 6.9470
4.7444 6.3533 3.1304
```

***

For ReAgRh4, a PBE-relaxed structure gives the calculated PXRD pattern in this record (a wavelength of 1.5418 Å).
Lines closer than 0.1° are merged.

Most intense lines, 2θ = 10–90°, by intensity:
2θ/deg	I_rel
41.74	1000
35.37	388
67.85	309
43.69	298
74.84	249
63.50	139
89.56	114
85.59	62
24.81	27
21.44	25

Structure:
```
ReAgRh4
1.0
0.0000 3.5885 3.5885
3.5885 0.0000 3.5885
3.5885 3.5885 0.0000
Re Ag Rh
1 1 4
Cartesian
0.0000 0.0000 0.0000
5.3828 5.3828 5.3828
2.6921 2.6921 2.6921
4.4850 4.4850 2.6921
4.4850 2.6921 4.4850
2.6921 4.4850 4.4850
```

***

For MgSc5Tl4, a PBE-relaxed structure gives the calculated PXRD pattern in this record (a wavelength of 1.5418 Å).
Lines closer than 0.1° are merged.

Most intense lines, 2θ = 10–90°, by intensity:
2θ/deg	I_rel
35.39	1000
35.16	523
24.66	408
63.23	368
24.98	192
50.57	189
43.61	188
63.68	168
74.87	104
57.22	101

Structure:
```
MgSc5Tl4
1.0
3.6100 0.0000 0.0000
0.0000 3.6100 0.0000
0.0000 0.0000 17.8220
Mg Sc Tl
1 5 4
Cartesian
0.0000 0.0000 0.0000
1.8050 1.8050 1.7078
1.8050 1.8050 5.3014
1.8050 1.8050 8.9110
1.8050 1.8050 12.5207
1.8050 1.8050 16.1142
0.0000 0.0000 3.4446
0.0000 0.0000 7.1043
0.0000 0.0000 10.7177
0.0000 0.0000 14.3774
```

***

For In7Ga2, a PBE-relaxed structure gives the calculated PXRD pattern in this record (a wavelength of 1.5418 Å).
Lines closer than 0.1° are merged.

Most intense lines, 2θ = 10–90°, by intensity:
2θ/deg	I_rel
30.81	1000
38.07	550
49.75	253
49.60	241
64.32	225
77.14	124
64.19	107
81.08	100
89.55	92
68.79	90

Structure:
```
In7Ga2
1.0
8.1879 0.0000 0.0000
-4.0940 7.0909 0.0000
0.0000 0.0000 4.1139
In Ga
7 2
Cartesian
0.0000 0.0000 0.0000
-1.3928 2.4124 2.8393
-2.7012 4.6785 1.2745
2.7856 0.0000 2.8393
1.3928 2.4124 1.2745
5.4023 0.0000 1.2745
2.7012 4.6785 2.8393
0.0000 4.7273 0.0000
4.0940 2.3636 0.0000
```

***

For Ti3Ge2H2, a PBE-relaxed structure gives the calculated PXRD pattern in this record (a wavelength of 1.5418 Å).
Lines closer than 0.1° are merged.

Most intense lines, 2θ = 10–90°, by intensity:
2θ/deg	I_rel
41.67	1000
41.31	716
41.03	580
41.49	470
47.18	453
23.09	433
23.98	423
36.28	379
31.02	351
40.01	337

Structure:
```
Ti3Ge2H2
1.0
5.2187 0.0000 0.0000
0.0000 7.4215 0.0000
-2.6884 0.0000 4.6062
Ti Ge H
6 4 4
Cartesian
0.0000 0.0000 0.0000
-1.3442 3.7108 2.3031
-0.3079 1.0043 3.0240
1.0363 2.7064 0.7210
1.4940 4.7151 3.8852
2.8382 6.4172 1.5821
0.3509 5.3888 1.4914
-0.9933 5.7434 3.7945
3.5236 1.6781 0.8117
2.1794 2.0327 3.1148
0.8235 0.9371 1.3999
-0.5207 2.7736 3.7029
3.0510 4.6479 0.9032
1.7068 6.4844 3.2063
```

***

For KCr2H, a PBE-relaxed structure gives the calculated PXRD pattern in this record (a wavelength of 1.5418 Å).
Lines closer than 0.1° are merged.

Most intense lines, 2θ = 10–90°, by intensity:
2θ/deg	I_rel
34.34	1000
35.92	512
55.11	298
60.47	271
29.17	215
17.74	188
86.28	165
72.38	158
71.43	94
41.72	93

Structure:
```
KCr2H
1.0
0.0000 4.3300 4.3300
4.3300 0.0000 4.3300
4.3300 4.3300 0.0000
K Cr H
2 4 2
Cartesian
1.0825 1.0825 1.0825
7.5775 7.5775 7.5775
4.3300 2.1650 2.1650
2.1650 4.3300 2.1650
2.1650 2.1650 4.3300
4.3300 4.3300 4.3300
3.2475 3.2475 3.2475
5.4125 5.4125 5.4125
```

***

For PmAl4Cu2, a PBE-relaxed structure gives the calculated PXRD pattern in this record (a wavelength of 1.5418 Å).
Lines closer than 0.1° are merged.

Most intense lines, 2θ = 10–90°, by intensity:
2θ/deg	I_rel
35.33	1000
29.76	777
38.63	464
44.11	355
29.22	329
24.07	235
52.57	232
36.65	231
33.19	224
50.27	203

Structure:
```
PmAl4Cu2
1.0
16.9878 0.0000 0.0000
0.0000 4.1066 0.0000
0.0000 0.0000 6.9941
Pm Al Cu
4 16 8
Cartesian
2.0032 1.0266 0.0551
6.4907 3.0799 3.5521
10.4971 1.0266 3.4420
14.9846 3.0799 6.9390
0.6231 3.0799 5.1245
1.6022 1.0266 3.5178
3.2252 3.0799 2.2896
3.3583 3.0799 4.9688
5.1356 1.0266 1.4717
5.2687 1.0266 5.7866
6.8917 3.0799 0.0208
7.8708 1.0266 1.6275
9.1170 3.0799 5.3666
10.0962 1.0266 6.9733
11.7191 3.0799 1.2075
11.8522 3.0799 5.5223
13.6295 1.0266 2.0253
13.7626 1.0266 4.7045
15.3856 3.0799 3.4763
16.3648 1.0266 1.8696
0.6857 3.0799 2.2080
4.0350 1.0266 3.6640
4.4589 3.0799 0.1669
7.8082 1.0266 5.7050
9.1796 3.0799 1.2891
12.5289 1.0266 6.8272
12.9528 3.0799 3.3301
16.3021 1.0266 4.7861
```

***

For LaZn2Pd6, a PBE-relaxed structure gives the calculated PXRD pattern in this record (a wavelength of 1.5418 Å).
Lines closer than 0.1° are merged.

Most intense lines, 2θ = 10–90°, by intensity:
2θ/deg	I_rel
45.28	1000
31.59	661
83.63	313
26.09	274
74.98	203
56.26	164
41.41	157
65.97	155
27.27	65
63.03	59

Structure:
```
LaZn2Pd6
1.0
0.0000 5.6644 5.6644
5.6644 0.0000 5.6644
5.6644 5.6644 0.0000
La Zn Pd
2 4 12
Cartesian
1.4161 1.4161 1.4161
9.9128 9.9128 9.9128
5.6644 2.8322 2.8322
2.8322 5.6644 2.8322
2.8322 2.8322 5.6644
5.6644 5.6644 5.6644
4.2483 4.2483 1.3302
4.2483 1.3302 4.2483
7.1665 4.2483 4.2483
7.0805 7.0805 4.1624
7.0805 4.1624 7.0805
9.9987 7.0805 7.0805
1.3302 4.2483 4.2483
4.2483 7.1665 4.2483
4.2483 4.2483 7.1665
4.1624 7.0805 7.0805
7.0805 9.9987 7.0805
7.0805 7.0805 9.9987
```

***

For Cs2SbCl3O, a PBE-relaxed structure gives the calculated PXRD pattern in this record (a wavelength of 1.5418 Å).
Lines closer than 0.1° are merged.

Most intense lines, 2θ = 10–90°, by intensity:
2θ/deg	I_rel
26.06	1000
21.38	738
25.48	632
31.40	494
29.40	439
39.69	436
40.86	365
43.55	291
32.75	279
42.30	209

Structure:
```
Cs2SbCl3O
1.0
4.2732 0.0000 0.0000
0.0000 5.6985 0.0000
0.0000 0.0000 18.2276
Cs Sb Cl O
4 2 6 2
Cartesian
0.0000 0.0000 2.6863
0.0000 0.0000 15.5413
2.1366 2.8493 6.4275
2.1366 2.8493 11.8001
0.0000 0.0000 9.1138
2.1366 2.8493 0.0000
0.0000 0.0000 6.2495
0.0000 0.0000 11.9780
0.0000 2.8493 9.1138
2.1366 0.0000 0.0000
2.1366 2.8493 2.8642
2.1366 2.8493 15.3633
0.0000 2.8493 0.0000
2.1366 0.0000 9.1138
```

***

For Sm4Se3O4, a PBE-relaxed structure gives the calculated PXRD pattern in this record (a wavelength of 1.5418 Å).
Lines closer than 0.1° are merged.

Most intense lines, 2θ = 10–90°, by intensity:
2θ/deg	I_rel
30.67	1000
31.74	557
25.29	557
35.12	295
47.31	232
45.64	194
53.73	183
59.63	161
42.16	157
52.90	149

Structure:
```
Sm4Se3O4
1.0
8.4164 0.0000 0.0000
0.0000 1.9876 6.4308
0.0000 -1.9876 6.4308
Sm Se O
4 3 4
Cartesian
0.0000 0.0000 0.0000
2.0144 0.0000 8.7247
4.2082 0.0000 0.1587
6.4020 0.0000 8.7247
0.0000 0.0000 4.0421
2.9279 0.0000 4.5099
5.4886 0.0000 4.5099
0.0000 0.0000 7.5547
2.0627 0.0000 1.0796
4.2082 0.0000 7.8423
6.3538 0.0000 1.0796
```

***

For SmRe3Tc3, a PBE-relaxed structure gives the calculated PXRD pattern in this record (a wavelength of 1.5418 Å).
Lines closer than 0.1° are merged.

Most intense lines, 2θ = 10–90°, by intensity:
2θ/deg	I_rel
32.08	1000
49.92	580
26.07	426
46.00	323
53.63	312
79.29	199
18.36	192
29.22	180
88.10	177
76.31	165

Structure:
```
SmRe3Tc3
1.0
6.8352 0.0000 0.0000
0.0000 6.8352 0.0000
0.0000 0.0000 6.8352
Sm Re Tc
2 6 6
Cartesian
0.0000 0.0000 0.0000
3.4176 3.4176 3.4176
0.0000 1.7088 3.4176
0.0000 5.1264 3.4176
1.7088 3.4176 0.0000
3.4176 0.0000 1.7088
3.4176 0.0000 5.1264
5.1264 3.4176 0.0000
0.0000 3.4176 1.7088
0.0000 3.4176 5.1264
1.7088 0.0000 3.4176
3.4176 1.7088 0.0000
3.4176 5.1264 0.0000
5.1264 0.0000 3.4176
```

***

For Tm2Mn15Cr2, a PBE-relaxed structure gives the calculated PXRD pattern in this record (a wavelength of 1.5418 Å).
Lines closer than 0.1° are merged.

Most intense lines, 2θ = 10–90°, by intensity:
2θ/deg	I_rel
43.30	1000
41.99	840
39.39	581
31.11	487
36.15	475
44.88	296
61.89	276
32.71	257
46.12	219
47.05	188

Structure:
```
Tm2Mn15Cr2
1.0
4.3037 2.4847 3.8626
-4.3037 2.4847 3.8626
0.0000 -4.9695 3.8626
Tm Mn Cr
2 15 2
Cartesian
0.0000 0.0000 1.7071
0.0000 0.0000 9.8806
-2.1519 -1.2424 3.8626
0.0000 -2.3965 3.5079
-2.0755 1.1983 3.5079
-1.1923 -2.0652 5.7938
-2.3847 0.0000 5.7938
-2.0755 -1.1983 8.0798
-2.1518 1.2424 7.7251
1.1923 -2.0652 5.7938
0.0000 2.4847 3.8626
-1.1923 2.0652 5.7938
2.0755 1.1983 3.5079
2.3847 0.0000 5.7938
1.1923 2.0652 5.7938
2.0755 -1.1983 8.0798
0.0000 2.3965 8.0798
0.0000 0.0000 4.6692
0.0000 0.0000 6.9185
```